The following is a theoretical X-ray powder pattern of Ba4Cr2MoWO12. It was derived from a DFT-relaxed cell (PBE+U, Alexandria), using Cu Kα (weighted mean of Kα1 and Kα2).
No peak broadening, texture or thermal motion is included.

Crystal structure
a = 5.794 Å, b = 5.794 Å, c = 10.100 Å
α = 107.47°, β = 107.47°, γ = 59.61°
Element x y z (fractional)
Ba 0.121 0.121 0.367
Ba 0.371 0.371 0.118
Ba 0.629 0.629 0.882
Ba 0.879 0.879 0.633
Cr 0.251 0.251 0.752
Cr 0.749 0.749 0.248
Mo 0.000 0.000 0.000
W 0.500 0.500 0.500
O 0.128 0.128 0.868
O 0.128 0.625 0.870
O 0.136 0.620 0.381
O 0.375 0.872 0.130
O 0.380 0.864 0.619
O 0.381 0.381 0.619
O 0.619 0.619 0.381
O 0.620 0.136 0.381
O 0.625 0.128 0.870
O 0.864 0.380 0.619
O 0.872 0.375 0.130
O 0.872 0.872 0.132

Principal peaks in the range 5 to 70 degrees two-theta, in order of falling intensity:
| d (Å) | 2θ/deg | I/Imax |
| --- | --- | --- |
| 2.906 | 30.8 | 100 |
| 2.897 | 30.9 | 100 |
| 2.881 | 31.0 | 98 |
| 2.037 | 44.5 | 60 |
| 1.665 | 55.1 | 38 |
| 1.669 | 55.0 | 38 |
| 2.067 | 43.8 | 31 |
| 4.727 | 18.8 | 27 |
| 1.679 | 54.7 | 20 |
| 1.448 | 64.3 | 19 |
| 1.453 | 64.1 | 18 |
| 1.440 | 64.7 | 18 |